No. 1
# CaNiW
Computed powder X-ray diffraction pattern, Cu Kα. Input: a structure optimized by DFT (GGA-PBE).
Lines closer than 0.1° are merged.

Cell and atoms:
a b c (Å): 2.9755 3.4679 11.4619
angles (deg): 90.00 90.14 90.00
Space group Pm (No. 6)
Symmetry-distinct sites (fractional):
Ca1 0.0000 0.0000 0.0000 x1
Ca2 0.4911 0.5000 0.2995 x1
Ni1 0.4947 0.5000 0.6029 x1
Ni2 0.4981 0.5000 0.8302 x1
W1 0.9930 0.0000 0.4957 x1
W2 0.9968 0.0000 0.7204 x1

The 8 most intense peaks (2θ from 10° to 90°), in order of falling intensity:
- hkl 1 1 0, 39.9 deg, intensity 100
- hkl 0 1 4, 40.9 deg, intensity 72
- hkl 1 1 -1, 40.7 deg, intensity 55
- hkl 1 0 -4, 43.8 deg, intensity 30
- hkl 1 0 4, 43.9 deg, intensity 29
- hkl 1 2 4, 71.0 deg, intensity 29
- hkl 0 1 5, 47.6 deg, intensity 28
- hkl 1 0 0, 30.1 deg, intensity 28

No. 2
# Dy5B2C5
Computed powder X-ray diffraction pattern, Cu Kα. Input: a structure optimized by DFT (GGA-PBE).
Lines closer than 0.1° are merged.

Cell and atoms:
a b c (Å): 8.1650 8.1650 10.7529
angles (deg): 90.00 90.00 90.00
Space group P4/ncc (No. 130, origin choice 2)
Symmetry-distinct sites (fractional):
Dy1 0.0366 0.6565 0.1002 x16
Dy2 0.2500 0.2500 0.1400 x4
B1 0.0938 0.5938 0.7500 x8
C1 0.0521 0.6482 0.8758 x16
C2 0.2500 0.2500 0.4017 x4

The 8 most intense peaks (2θ from 10° to 90°), in order of falling intensity:
- hkl 2 1 2, 29.6 deg, intensity 100
- hkl 3 1 1, 35.8 deg, intensity 58
- hkl 2 1 3, 35.1 deg, intensity 57
- hkl 5 0 2, 59.1 deg, intensity 33
- hkl 3 1 0, 34.7 deg, intensity 32
- hkl 2 1 1, 25.8 deg, intensity 31
- hkl 0 0 4, 33.3 deg, intensity 31
- hkl 3 1 5, 55.6 deg, intensity 24

No. 3
# Sc2In2Ru
Computed powder X-ray diffraction pattern, Cu Kα. Input: a structure optimized by DFT (GGA-PBE).
Lines closer than 0.1° are merged.

Cell and atoms:
a b c (Å): 3.2680 3.2680 19.5131
angles (deg): 90.00 90.00 90.00
Space group I4/mmm (No. 139)
Symmetry-distinct sites (fractional):
Sc1 0.0000 0.0000 0.0791 x4
In1 0.0000 0.0000 0.3077 x4
Ru1 0.0000 0.0000 0.5000 x2

The 8 most intense peaks (2θ from 10° to 90°), in order of falling intensity:
- hkl 1 0 5, 35.8 deg, intensity 100
- hkl 1 1 0, 39.0 deg, intensity 44
- hkl 2 1 5, 68.6 deg, intensity 28
- hkl 2 0 0, 56.3 deg, intensity 15
- hkl 1 0 1, 27.7 deg, intensity 14
- hkl 1 1 10, 62.3 deg, intensity 13
- hkl 1 0 3, 30.6 deg, intensity 12
- hkl 0 0 10, 46.5 deg, intensity 8

No. 4
# Pm2NdCu9
Computed powder X-ray diffraction pattern, Cu Kα. Input: a structure optimized by DFT (GGA-PBE).
Lines closer than 0.1° are merged.

Cell and atoms:
a b c (Å): 5.2498 5.2498 25.1650
angles (deg): 90.00 90.00 120.00
Space group R-3m (No. 166, hexagonal axes)
Symmetry-distinct sites (fractional):
Pm1 0.0000 0.0000 0.1435 x6
Nd1 0.0000 0.0000 0.0000 x3
Cu1 0.0000 0.0000 0.3316 x6
Cu2 0.0000 0.0000 0.5000 x3
Cu3 0.0043 0.5021 0.0811 x18

The 8 most intense peaks (2θ from 10° to 90°), in order of falling intensity:
- hkl 1 1 6, 40.5 deg, intensity 100
- hkl 1 1 0, 34.2 deg, intensity 45
- hkl 1 0 7, 31.7 deg, intensity 41
- hkl 0 2 1, 39.8 deg, intensity 35
- hkl 0 1 8, 34.7 deg, intensity 25
- hkl 0 3 6, 65.5 deg, intensity 23
- hkl 2 2 0, 71.9 deg, intensity 21
- hkl 0 0 12, 43.1 deg, intensity 15